Structure and simulated powder X-ray diffraction pattern of TiFe2O4 (DFT lattice parameters and positions (GGA+U); CuKα).
Peak positions follow from Bragg's law for the DFT cell and can differ from measured ones.

Structural model:
```
TiFe2O4
1.0
3.001 0.000 0.000
1.455 5.012 0.000
0.067 0.004 10.117
Ti Fe O
2 4 8
Direct
0.000 0.000 0.000
0.251 0.504 0.500
0.261 0.472 0.149
0.530 0.958 0.287
0.726 0.545 0.787
0.984 0.032 0.649
0.087 0.825 0.834
0.178 0.679 0.334
0.334 0.329 0.688
0.382 0.243 0.966
0.617 0.764 0.077
0.632 0.741 0.577
0.869 0.262 0.467
0.907 0.175 0.188
```

Peak list (12 most intense, 2θ = 5–70°, low angle first)
2θ (°)	intensity
17.5	17
32.0	100
32.4	16
35.8	24
35.9	11
39.9	14
40.2	12
41.2	31
41.5	15
41.6	14
61.8	23
62.0	21


Structure and simulated powder X-ray diffraction pattern of LiCo2P3O12 (DFT lattice parameters and positions (GGA+U); CuKα).
Peak positions follow from Bragg's law for the DFT cell and can differ from measured ones.

Structural model:
```
LiCo2P3O12
1.0
4.158 2.401 6.891
-4.158 2.401 6.891
0.000 -4.801 6.891
Li Co P O
2 4 6 24
Direct
0.000 0.000 0.000
0.500 0.500 0.500
0.140 0.140 0.140
0.360 0.360 0.360
0.640 0.640 0.640
0.860 0.860 0.860
0.034 0.750 0.466
0.250 0.534 0.966
0.466 0.034 0.750
0.534 0.966 0.250
0.750 0.466 0.034
0.966 0.250 0.534
0.014 0.793 0.632
0.056 0.922 0.265
0.078 0.735 0.944
0.132 0.293 0.514
0.207 0.368 0.986
0.235 0.578 0.444
0.265 0.056 0.922
0.293 0.514 0.132
0.368 0.986 0.207
0.422 0.556 0.765
0.444 0.235 0.578
0.486 0.868 0.707
0.514 0.132 0.293
0.556 0.765 0.422
0.578 0.444 0.235
0.632 0.014 0.793
0.707 0.486 0.868
0.735 0.944 0.078
0.765 0.422 0.556
0.793 0.632 0.014
0.868 0.707 0.486
0.922 0.265 0.056
0.944 0.078 0.735
0.986 0.207 0.368
```

Peak list (12 most intense, 2θ = 5–70°, low angle first)
2θ (°)	intensity
15.0	23
21.2	71
21.4	48
25.0	100
30.3	54
33.2	20
33.8	31
37.3	16
37.5	21
48.6	22
51.3	13
58.7	26


Structure and simulated powder X-ray diffraction pattern of BaMgMn2O5 (DFT lattice parameters and positions (GGA+U); CuKα).
Peak positions follow from Bragg's law for the DFT cell and can differ from measured ones.

Structural model:
```
BaMgMn2O5
1.0
2.045 -6.092 0.000
2.045 6.092 0.000
0.000 0.000 5.761
Ba Mg Mn O
1 1 2 5
Direct
0.000 0.000 0.000
0.000 0.000 0.500
0.333 0.667 0.500
0.667 0.333 0.500
0.161 0.839 0.500
0.376 0.624 0.000
0.500 0.500 0.500
0.624 0.376 0.000
0.839 0.161 0.500
```

Peak list (12 most intense, 2θ = 5–70°, low angle first)
2θ (°)	intensity
14.5	27
21.2	54
27.7	41
31.0	100
33.3	12
44.3	18
44.5	35
44.6	14
46.1	19
55.1	18
55.4	14
64.7	14